Calculated powder X-ray diffraction pattern of TcNi2Os for a wavelength of 1.5418 Å, from a crystal structure in Alexandria, relaxed with PBE.

Crystal structure
```
data_TcNi2Os
_cell_length_a 2.5938
_cell_length_b 4.0425
_cell_length_c 4.9898
_cell_angle_alpha 90.00
_cell_angle_beta 104.96
_cell_angle_gamma 90.00
_space_group_name_H-M_alt 'P 1 m 1'
_space_group_IT_number 6
loop_
_space_group_symop_operation_xyz
'x,y,z'
'x,-y,z'
loop_
_atom_site_label
_atom_site_fract_x
_atom_site_fract_y
_atom_site_fract_z
Tc1 0.0000 0.0000 0.0000
Ni1 0.6132 0.5000 0.2293
Ni2 0.7396 0.0000 0.4827
Os1 0.3508 0.5000 0.7073
```

Largest 6 diffraction maxima, by angle, 10° ≤ 2θ ≤ 80°:
18.4°, d = 4.821 Å, rel. 24, (0 0 1); 28.8°, d = 3.098 Å, rel. 30, (0 1 1); 42.5°, d = 2.129 Å, rel. 100, (1 1 -1); 43.7°, d = 2.070 Å, rel. 79, (0 1 2); 44.9°, d = 2.021 Å, rel. 63, (0 2 0); 65.3°, d = 1.428 Å, rel. 31, (1 2 1)